No. 1
For TbCrTc, the GGA-PBE geometry in Alexandria gives the theoretical XRD peak list in this record (a wavelength of 1.5418 Å).

Cell and atoms:
```
data_TbCrTc
_chemical_formula_sum 'Tb4 Cr4 Tc4'
_cell_length_a 5.742
_cell_length_b 7.392
_cell_length_c 5.390
_cell_angle_alpha 90.00
_cell_angle_beta 90.00
_cell_angle_gamma 90.00
_space_group_name_H-M_alt 'P b c m'
_space_group_IT_number 57
loop_
_space_group_symop_operation_xyz
'x,y,z'
'-x,-y,-z'
'-x,-y,z+1/2'
'x,y,-z+1/2'
'x,-y+1/2,-z'
'-x,y+1/2,z'
'-x,y+1/2,-z+1/2'
'x,-y+1/2,z+1/2'
loop_
_atom_site_label
_atom_site_fract_x
_atom_site_fract_y
_atom_site_fract_z
Tb1 0.122 0.109 0.250
Cr1 0.400 0.023 0.750
Tc1 0.383 0.750 0.000
```

Peak list (12 most intense, 2θ from 15° to 90°, in order of rising 2θ)
2θ/deg	Rel. int.
25.7	25
29.3	62
33.3	86
33.5	85
36.8	37
37.5	100
38.9	60
39.8	45
41.5	42
52.0	30
60.2	40
62.2	22



No. 2
For Sm3Ag4SnSe8, the GGA-PBE geometry in Alexandria gives the theoretical XRD peak list in this record (a wavelength of 1.5418 Å).

Cell and atoms:
```
data_Sm3Ag4SnSe8
_chemical_formula_sum 'Sm9 Ag12 Sn3 Se24'
_cell_length_a 8.4594
_cell_length_b 8.4594
_cell_length_c 19.2711
_cell_angle_alpha 90.00
_cell_angle_beta 90.00
_cell_angle_gamma 120.00
_space_group_name_H-M_alt 'R -3 m'
_space_group_IT_number 166
_space_group_name_Hall '-R 3 2"'
loop_
_atom_site_label
_atom_site_fract_x
_atom_site_fract_y
_atom_site_fract_z
Sm1 0.0000 0.5000 0.0000
Ag1 0.0000 0.0000 0.5000
Ag2 0.0000 0.5000 0.5000
Sn1 0.0000 0.0000 0.0000
Se1 0.0000 0.0000 0.2499
Se2 0.0048 0.5024 0.7512
```

Peak list (12 most intense, 2θ from 15° to 90°, in order of rising 2θ)
2θ/deg	Rel. int.
26.0	8
30.7	100
42.8	40
45.0	34
53.5	20
57.4	5
63.8	12
70.8	17
74.1	15
78.3	7
79.9	13
84.7	5



No. 3
For CuTe2F, the GGA-PBE geometry in Alexandria gives the theoretical XRD peak list in this record (a wavelength of 1.5418 Å).

Cell and atoms:
```
data_CuTe2F
_chemical_formula_sum 'Cu4 Te8 F4'
_cell_length_a 14.526
_cell_length_b 3.864
_cell_length_c 7.163
_cell_angle_alpha 90.00
_cell_angle_beta 90.00
_cell_angle_gamma 90.00
_space_group_name_H-M_alt 'P n m a'
_space_group_IT_number 62
loop_
_space_group_symop_operation_xyz
'x,y,z'
'-x,-y,-z'
'-x+1/2,-y,z+1/2'
'x+1/2,y,-z+1/2'
'x+1/2,-y+1/2,-z+1/2'
'-x+1/2,y+1/2,z+1/2'
'-x,y+1/2,-z'
'x,-y+1/2,z'
loop_
_atom_site_label
_atom_site_fract_x
_atom_site_fract_y
_atom_site_fract_z
Cu1 0.171 0.250 0.162
Te1 0.066 0.750 0.259
Te2 0.187 0.750 0.926
F1 0.074 0.750 0.542
```

Peak list (12 most intense, 2θ from 15° to 90°, in order of rising 2θ)
2θ/deg	Rel. int.
17.4	70
22.2	88
26.1	54
27.5	35
29.0	100
33.3	30
39.0	44
39.7	31
42.5	66
44.6	46
46.0	44
47.0	32



No. 4
For Ba2Ag3PbO6, the GGA-PBE geometry in Alexandria gives the theoretical XRD peak list in this record (a wavelength of 1.5418 Å).

Cell and atoms:
```
data_Ba2Ag3PbO6
_chemical_formula_sum 'Ba2 Ag3 Pb1 O6'
_cell_length_a 4.164
_cell_length_b 4.164
_cell_length_c 12.742
_cell_angle_alpha 90.00
_cell_angle_beta 90.00
_cell_angle_gamma 90.00
_space_group_name_H-M_alt 'P 4/m m m'
_space_group_IT_number 123
_space_group_name_Hall '-P 4 2'
loop_
_atom_site_label
_atom_site_fract_x
_atom_site_fract_y
_atom_site_fract_z
Ba1 0.000 0.000 0.206
Ag1 0.500 0.500 0.000
Ag2 0.500 0.500 0.365
Pb1 0.000 0.000 0.500
O1 0.000 0.500 0.363
O2 0.500 0.500 0.159
```

Peak list (12 most intense, 2θ from 15° to 90°, in order of rising 2θ)
2θ/deg	Rel. int.
30.1	100
30.4	66
35.5	30
43.5	33
53.2	8
53.8	39
57.3	15
62.5	8
63.2	10
71.5	8
71.7	11
87.5	10